Diffraction record for ZnFeF5. The powder X-ray diffraction pattern is calculated, not measured: it uses the GGA+U geometry in the Materials Project and Cu Kα (λ = 1.5418 Å).
Neutral-atom scattering factors, no anomalous dispersion.

The 8 most intense peaks (2θ from 5° to 70°), sorted by position:
- 20.16 deg, rel. 22
- 25.54 deg, rel. 100
- 26.64 deg, rel. 28
- 26.93 deg, rel. 23
- 30.98 deg, rel. 22
- 31.23 deg, rel. 21
- 52.01 deg, rel. 19
- 52.50 deg, rel. 26

Structure:
a b c (Å): 5.2429 9.8834 7.5770
angles (deg): 90.00 110.15 90.00
Fractional coordinates of all 28 atoms:
Zn: 0.0106 0.0042 0.2466
Zn: 0.0106 0.4958 0.7466
Zn: 0.9894 0.5042 0.2534
Zn: 0.9894 0.9958 0.7534
Fe: 0.4042 0.2454 0.6039
Fe: 0.4042 0.2546 0.1039
Fe: 0.5958 0.7454 0.8961
Fe: 0.5958 0.7546 0.3961
F: 0.1115 0.1142 0.5764
F: 0.1115 0.3858 0.0764
F: 0.1515 0.1076 0.9955
F: 0.1515 0.3924 0.4955
F: 0.2837 0.6369 0.3420
F: 0.2837 0.8631 0.8420
F: 0.3493 0.1917 0.3393
F: 0.3493 0.3083 0.8393
F: 0.3533 0.5950 0.8054
F: 0.3533 0.9050 0.3054
F: 0.6467 0.0950 0.6946
F: 0.6467 0.4050 0.1946
F: 0.6507 0.6917 0.1607
F: 0.6507 0.8083 0.6607
F: 0.7163 0.1369 0.1580
F: 0.7163 0.3631 0.6580
F: 0.8485 0.6076 0.5045
F: 0.8485 0.8924 0.0045
F: 0.8885 0.6142 0.9236
F: 0.8885 0.8858 0.4236

***

Diffraction record for ZnFeF5. The powder X-ray diffraction pattern is calculated, not measured: it uses the GGA+U geometry in the Materials Project and Cu Kα (λ = 1.5418 Å).
Neutral-atom scattering factors, no anomalous dispersion.

The 8 most intense peaks (2θ from 5° to 70°), sorted by position:
- 22.96 deg, rel. 85
- 27.34 deg, rel. 100
- 28.42 deg, rel. 39
- 46.92 deg, rel. 26
- 47.64 deg, rel. 19
- 49.66 deg, rel. 30
- 55.31 deg, rel. 21
- 56.41 deg, rel. 14

Structure:
a b c (Å): 5.3494 5.3494 7.6356
angles (deg): 111.23 111.23 71.91
Fractional coordinates of all 14 atoms:
Zn: 0.0266 0.9734 0.7500
Zn: 0.9734 0.0266 0.2500
Fe: 0.5000 0.5000 0.0000
Fe: 0.5000 0.5000 0.5000
F: 0.1872 0.7854 0.0449
F: 0.2146 0.8128 0.4551
F: 0.2240 0.2817 0.3646
F: 0.2817 0.2240 0.8646
F: 0.3860 0.6140 0.7500
F: 0.6140 0.3860 0.2500
F: 0.7183 0.7760 0.1354
F: 0.7760 0.7183 0.6354
F: 0.7854 0.1872 0.5449
F: 0.8128 0.2146 0.9551

***

Diffraction record for ZnFeF4. The powder X-ray diffraction pattern is calculated, not measured: it uses the GGA+U geometry in the Materials Project and Cu Kα (λ = 1.5418 Å).
Neutral-atom scattering factors, no anomalous dispersion.

The 8 most intense peaks (2θ from 5° to 70°), sorted by position:
- 29.81 deg, rel. 100
- 33.84 deg, rel. 6
- 49.08 deg, rel. 23
- 49.73 deg, rel. 22
- 50.19 deg, rel. 26
- 58.07 deg, rel. 14
- 58.90 deg, rel. 13
- 60.04 deg, rel. 12

Structure:
a b c (Å): 6.3677 6.3677 6.3677
angles (deg): 132.98 130.84 70.39
Fractional coordinates of all 12 atoms:
Zn: 0.2500 0.2500 0.0000
Zn: 0.7500 0.7500 0.0000
Fe: 0.0000 0.5000 0.5000
Fe: 0.5000 0.0000 0.5000
F: 0.0618 0.1079 0.4222
F: 0.1857 0.6079 0.0461
F: 0.3143 0.3604 0.4222
F: 0.4382 0.8604 0.0461
F: 0.5618 0.1396 0.9539
F: 0.6857 0.6396 0.5778
F: 0.8143 0.3921 0.9539
F: 0.9382 0.8921 0.5778